For Tb2PrRh2, DFT lattice parameters and positions (PBE) gives the simulated powder X-ray diffraction pattern in this record (Cu Kα (λ = 1.5418 Å)).

Most intense lines, 2θ = 10–80°, by angle:
d (Å), two_theta, Rel. int., (hkl)
6.087, 14.6, 18, 0 0 1
3.103, 28.8, 35, 1 1 1
3.044, 29.3, 17, 0 0 2
2.923, 30.6, 41, 2 0 0
2.843, 31.5, 100, 0 2 1
2.760, 32.4, 58, 2 0 -2
2.271, 39.7, 90, 2 2 -1
2.210, 40.8, 25, 0 2 2
2.191, 41.2, 21, 1 1 2
2.103, 43.0, 21, 1 1 -3
1.864, 48.8, 18, 3 1 0
1.378, 68.0, 16, 4 2 -3

Structural model:
Unit cell a=6.431 b=6.429 c=6.697 alpha=90.00 beta=114.64 gamma=90.00
Space group C2/m (No. 12)
Asymmetric unit:
Tb 0.000 0.247 0.000 (multiplicity 4)
Pr 0.000 0.500 0.500 (multiplicity 2)
Rh 0.132 0.000 0.713 (multiplicity 4)